# 1
Starting from the PBE geometry in Alexandria, the X-ray powder pattern of CdPBr was computed for CuKα.
Intensities are scaled so that the largest is 100.

The 6 most intense peaks (10 to 80 degrees two-theta), in order of rising 2θ:
| d/Å | I/Imax | index |
| --- | --- | --- |
| 4.649 | 100 | 0 1 0 |
| 3.887 | 39 | 0 1 1 |
| 3.542 | 44 | 0 0 2 |
| 3.034 | 61 | 2 0 -1 |
| 2.817 | 40 | 0 1 2 |
| 2.104 | 42 | 0 1 3 |

Cell and atoms:
Cell lengths 6.0732, 4.6490, 7.5915 Å; angles 90.00, 111.09, 90.00 degrees
Space group P2/m (No. 10)
Asymmetric unit:
Cd1 0.1782 0.0000 0.2946 x2
P1 0.0776 0.5000 0.1423 x2
Br1 0.3299 0.0000 0.6737 x2

# 2
Starting from the PBE geometry in Alexandria, the X-ray powder pattern of Cd4PSeBr2 was computed for CuKα.
Intensities are scaled so that the largest is 100.

The 6 most intense peaks (10 to 80 degrees two-theta), in order of rising 2θ:
| d/Å | I/Imax | index |
| --- | --- | --- |
| 2.934 | 100 | 2 2 0 |
| 2.693 | 13 | 2 1 3 |
| 2.260 | 12 | 0 3 3 |
| 2.076 | 53 | 2 2 4 |
| 2.070 | 12 | 4 0 0 |
| 1.313 | 16 | 4 4 4 |

Cell and atoms:
Cell lengths 8.2804, 8.3092, 11.7479 Å; angles 90.00, 90.00, 90.00 degrees
Space group Imma (No. 74)
Asymmetric unit:
Cd1 0.0000 0.0398 0.2412 x8
Cd2 0.2302 0.2500 0.0222 x8
P1 0.2500 0.2500 0.2500 x4
Se1 0.0000 0.0000 0.0000 x4
Br1 0.0000 0.0000 0.5000 x4
Br2 0.2500 0.2500 0.7500 x4

# 3
Starting from the PBE geometry in Alexandria, the X-ray powder pattern of CdPb2Br6 was computed for CuKα.
Intensities are scaled so that the largest is 100.

The 6 most intense peaks (10 to 80 degrees two-theta), in order of rising 2θ:
| d/Å | I/Imax | index |
| --- | --- | --- |
| 6.933 | 100 | 2 0 -1 |
| 3.453 | 41 | 0 0 3 |
| 3.227 | 98 | 3 1 0 |
| 2.482 | 32 | 5 1 -1 |
| 2.167 | 30 | 3 1 3 |
| 2.012 | 28 | 5 1 -4 |

Cell and atoms:
Cell lengths 15.1724, 4.3169, 10.7798 Å; angles 90.00, 106.07, 90.00 degrees
Space group C2/m (No. 12)
Asymmetric unit:
Cd1 0.0000 0.0000 0.0000 x2
Pb1 0.1644 0.5000 0.3268 x4
Br1 0.0145 0.0000 0.2637 x4
Br2 0.1309 0.5000 0.0368 x4
Br3 0.1880 0.5000 0.6244 x4